[1]
Structure and calculated XRD peak list of Nd3Dy3Ho4 (a cell relaxed with PBE; Cu Kα (weighted mean of Kα1 and Kα2)).
No peak broadening, texture or thermal motion is included.

Structure:
```
Nd3Dy3Ho4
1.0
3.6863 0.0000 0.0000
0.0000 6.6712 6.7028
0.0000 -6.6712 6.7028
Nd Dy Ho
3 3 4
Cartesian
0.0000 0.0000 0.0000
0.0000 -2.3242 9.0193
0.0000 2.3242 9.0193
0.0000 0.0000 4.6579
1.8432 -3.2923 5.6544
1.8432 3.2923 5.6544
1.8432 -1.6572 2.3555
1.8432 1.6572 2.3555
1.8432 0.0000 7.3338
1.8432 0.0000 10.7017
```

Main lines, by angle (2θ from 15° to 90°):
Position (°2θ)  d_spacing  I/Imax
29.88  2.990  642
30.75  2.907  313
32.21  2.779  1000
38.77  2.322  108
39.28  2.294  92
46.64  1.947  112
49.45  1.843  117
55.46  1.657  188
58.85  1.569  190
86.45  1.126  80



[2]
Structure and calculated XRD peak list of Nd10DyHo6 (a cell relaxed with PBE; Cu Kα (weighted mean of Kα1 and Kα2)).
No peak broadening, texture or thermal motion is included.

Structure:
```
Nd10DyHo6
1.0
9.8385 0.0000 0.0000
-4.9192 8.5204 0.0000
0.0000 0.0000 6.9135
Nd Dy Ho
10 1 6
Cartesian
-1.3519 2.3415 1.2699
-3.5674 6.1789 5.6436
2.7037 0.0000 1.2699
1.3519 2.3415 5.6436
0.0000 5.6803 0.0000
0.0000 5.6803 3.4567
4.9192 2.8401 0.0000
4.9192 2.8401 3.4567
7.1348 0.0000 5.6436
3.5674 6.1789 1.2699
0.0000 0.0000 3.4567
-1.8198 3.1520 4.7701
-3.0995 5.3684 2.1434
3.6396 0.0000 4.7701
1.8198 3.1520 2.1434
6.1989 0.0000 2.1434
3.0995 5.3684 4.7701
```

Main lines, by angle (2θ from 15° to 90°):
Position (°2θ)  d_spacing  I/Imax
24.54  3.627  93
30.63  2.919  411
31.50  2.840  801
31.64  2.828  1000
40.33  2.236  95
45.25  2.004  266
48.39  1.881  134
56.15  1.638  252
56.43  1.631  184
62.12  1.494  111



[3]
Structure and calculated XRD peak list of Nd3Dy5Ho4 (a cell relaxed with PBE; Cu Kα (weighted mean of Kα1 and Kα2)).
No peak broadening, texture or thermal motion is included.

Structure:
```
Nd3Dy5Ho4
1.0
6.1819 0.0000 0.0000
-0.0222 7.1373 0.0000
-0.0177 -0.0040 8.7409
Nd Dy Ho
3 5 4
Cartesian
0.0000 0.0000 0.0000
0.9992 5.3447 5.8199
5.1428 1.7886 2.9210
-0.0111 3.5687 0.0000
2.0422 7.1341 2.9121
3.0602 1.7906 8.7394
3.0818 5.3427 0.0015
4.0999 -0.0008 5.8288
1.0231 1.7912 5.8258
2.0459 3.5674 2.9094
4.0961 3.5658 5.8315
5.1189 5.3421 2.9151
```

Main lines, by angle (2θ from 15° to 90°):
Position (°2θ)  d_spacing  I/Imax
30.68  2.914  1000
35.58  2.523  506
51.16  1.785  241
51.26  1.782  120
60.82  1.523  179
60.89  1.521  179
60.99  1.519  71
63.93  1.456  93
83.58  1.157  74
86.18  1.128  69



[4]
Structure and calculated XRD peak list of Nd2DyHo8 (a cell relaxed with PBE; Cu Kα (weighted mean of Kα1 and Kα2)).
No peak broadening, texture or thermal motion is included.

Structure:
```
Nd2DyHo8
1.0
4.5107 -8.0079 0.0000
4.5107 8.0079 0.0000
-3.2003 0.0000 4.9382
Nd Dy Ho
2 1 8
Cartesian
4.5107 4.9112 0.0000
4.5107 -4.9112 0.0000
2.9106 0.0000 2.4691
-0.2963 0.0000 1.4641
-0.0654 1.8517 4.0835
2.9106 3.3221 2.4691
-0.0654 -1.8517 4.0835
5.8865 1.8517 0.8547
2.9106 -3.3221 2.4691
5.8865 -1.8517 0.8547
6.1175 0.0000 3.4740
```

Main lines, by angle (2θ from 15° to 90°):
Position (°2θ)  d_spacing  I/Imax
26.96  3.307  151
28.70  3.110  230
30.26  2.953  589
30.64  2.918  237
31.33  2.856  288
31.88  2.807  1000
32.55  2.751  481
36.95  2.433  141
38.15  2.359  167
60.67  1.526  147



[5]
Structure and calculated XRD peak list of Nd4DyHo10 (a cell relaxed with PBE; Cu Kα (weighted mean of Kα1 and Kα2)).
No peak broadening, texture or thermal motion is included.

Structure:
```
Nd4DyHo10
1.0
-5.6318 5.6318 3.9748
5.6318 -5.6318 3.9748
5.6318 5.6318 -3.9748
Nd Dy Ho
4 1 10
Cartesian
2.5662 2.5662 0.0000
3.0656 -3.0656 3.9748
-3.0656 3.0656 3.9748
3.0656 3.0656 3.9748
0.0000 0.0000 0.0000
5.6318 3.2871 -1.6408
5.6318 0.0000 1.9874
3.2871 5.6318 -1.6408
2.3447 0.0000 2.3340
5.6318 3.2871 1.6408
0.0000 2.3447 2.3340
3.2871 5.6318 1.6408
2.3447 0.0000 5.6156
0.0000 5.6318 1.9874
0.0000 2.3447 5.6156
```

Main lines, by angle (2θ from 15° to 90°):
Position (°2θ)  d_spacing  I/Imax
27.47  3.247  252
30.75  2.908  261
31.79  2.815  1000
33.78  2.653  343
34.78  2.580  156
40.87  2.208  323
45.59  1.990  190
53.38  1.716  146
56.67  1.624  157
67.58  1.386  166



[6]
Structure and calculated XRD peak list of Nd15Dy4Ho (a cell relaxed with PBE; Cu Kα (weighted mean of Kα1 and Kα2)).
No peak broadening, texture or thermal motion is included.

Structure:
```
Nd15Dy4Ho
1.0
5.1609 0.0000 0.0000
0.0000 5.1609 0.0000
0.0000 0.0000 25.6944
Nd Dy Ho
15 4 1
Cartesian
0.0000 0.0000 0.0000
0.0000 0.0000 5.1393
0.0000 0.0000 10.2789
0.0000 0.0000 15.4154
0.0000 0.0000 20.5551
0.0000 2.5804 2.5669
0.0000 2.5804 7.7104
0.0000 2.5804 12.8472
0.0000 2.5804 17.9839
0.0000 2.5804 23.1274
2.5804 0.0000 2.5669
2.5804 0.0000 7.7104
2.5804 0.0000 12.8472
2.5804 0.0000 17.9839
2.5804 0.0000 23.1274
2.5804 2.5804 5.1385
2.5804 2.5804 10.2784
2.5804 2.5804 15.4159
2.5804 2.5804 20.5558
2.5804 2.5804 0.0000
```

Main lines, by angle (2θ from 15° to 90°):
Position (°2θ)  d_spacing  I/Imax
30.03  2.975  1000
34.77  2.580  339
34.92  2.569  168
49.99  1.825  122
50.10  1.821  242
59.42  1.555  289
59.63  1.551  143
62.42  1.488  125
81.45  1.182  118
83.88  1.154  110



[7]
Structure and calculated XRD peak list of NdDy12Ho5 (a cell relaxed with PBE; Cu Kα (weighted mean of Kα1 and Kα2)).
No peak broadening, texture or thermal motion is included.

Structure:
```
NdDy12Ho5
1.0
7.5108 -7.5227 0.0000
7.5108 7.5227 0.0000
0.0000 0.0000 5.0087
Nd Dy Ho
1 12 5
Cartesian
0.0000 0.0000 0.0000
10.0237 -5.0049 0.0000
4.9980 5.0049 0.0000
2.5225 0.0000 2.5044
5.0158 2.5033 2.5044
5.0158 0.0000 0.0000
10.0237 5.0049 0.0000
5.0158 -2.5033 2.5044
10.0058 2.5033 2.5044
4.9980 -5.0049 0.0000
10.0059 0.0000 0.0000
10.0058 -2.5033 2.5044
12.4991 0.0000 2.5044
7.5108 4.9975 2.5044
7.5108 2.5059 0.0000
7.5108 0.0000 2.5044
7.5108 -2.5059 0.0000
7.5108 -4.9975 2.5044
```

Main lines, by angle (2θ from 15° to 90°):
Position (°2θ)  d_spacing  I/Imax
30.91  2.893  1000
35.84  2.505  506
51.60  1.771  360
61.37  1.511  428
64.42  1.446  123
75.89  1.254  19
76.01  1.252  38
84.24  1.149  178
86.91  1.121  84
87.01  1.120  83



[8]
Structure and calculated XRD peak list of Nd6Dy16Ho7 (a cell relaxed with PBE; Cu Kα (weighted mean of Kα1 and Kα2)).
No peak broadening, texture or thermal motion is included.

Structure:
```
Nd6Dy16Ho7
1.0
0.0000 7.8921 7.8921
7.8921 0.0000 7.8921
7.8921 7.8921 0.0000
Nd Dy Ho
6 16 7
Cartesian
7.8921 7.8921 3.5628
7.8921 3.5628 7.8921
12.2214 7.8921 7.8921
3.5628 7.8921 7.8921
7.8921 12.2214 7.8921
7.8921 7.8921 12.2214
9.8746 5.9096 5.9096
2.3911 2.3911 2.3911
5.5010 5.5010 2.3911
5.5010 2.3911 5.5010
5.9096 5.9096 5.9096
9.8746 9.8746 5.9096
9.8746 5.9096 9.8746
13.3930 10.2832 10.2832
2.3911 5.5010 5.5010
5.9096 9.8746 5.9096
5.9096 5.9096 9.8746
9.8746 9.8746 9.8746
10.2832 13.3930 10.2832
10.2832 10.2832 13.3930
13.3930 13.3930 13.3930
5.9096 9.8746 9.8746
3.9460 3.9460 0.0000
3.9460 0.0000 3.9460
7.8921 3.9460 3.9460
0.0000 3.9460 3.9460
3.9460 7.8921 3.9460
3.9460 3.9460 7.8921
7.8921 7.8921 7.8921
```

Main lines, by angle (2θ from 15° to 90°):
Position (°2θ)  d_spacing  I/Imax
27.69  3.222  63
29.40  3.038  132
32.08  2.790  1000
33.59  2.668  62
44.07  2.055  67
46.00  1.973  135
57.18  1.611  249
60.69  1.526  63
67.09  1.395  67
76.31  1.248  63



[9]
Structure and calculated XRD peak list of Nd8DyHo6 (a cell relaxed with PBE; Cu Kα (weighted mean of Kα1 and Kα2)).
No peak broadening, texture or thermal motion is included.

Structure:
```
Nd8DyHo6
1.0
4.5659 2.6361 6.9814
-4.5659 2.6361 6.9814
0.0000 -5.2723 6.9814
Nd Dy Ho
8 1 6
Cartesian
0.0000 0.0000 1.6308
-0.1585 -1.9969 7.5430
-1.6501 1.1357 7.5430
-1.8086 -0.8612 13.4012
1.8086 0.8612 7.5430
1.6501 -1.1357 13.4012
0.1585 1.9969 13.4012
0.0000 0.0000 19.3134
0.0000 0.0000 10.4721
-3.2355 -1.0713 9.6598
-0.6900 -3.3376 11.2844
-2.5455 2.2663 11.2844
2.5455 -2.2663 9.6598
0.6900 3.3376 9.6598
3.2355 1.0713 11.2844
```

Main lines, by angle (2θ from 15° to 90°):
Position (°2θ)  d_spacing  I/Imax
30.20  2.959  279
31.11  2.875  1000
31.98  2.798  303
32.28  2.773  128
34.55  2.596  128
36.43  2.466  131
52.45  1.745  113
53.44  1.715  109
54.79  1.675  111
62.26  1.491  87



[10]
Structure and calculated XRD peak list of NdDy5Ho7 (a cell relaxed with PBE; Cu Kα (weighted mean of Kα1 and Kα2)).
No peak broadening, texture or thermal motion is included.

Structure:
```
NdDy5Ho7
1.0
-3.3301 5.5389 5.7654
3.3301 -5.5389 5.7654
3.3301 5.5389 -5.7654
Nd Dy Ho
1 5 7
Cartesian
0.0000 0.0000 0.0000
1.5561 2.5384 -2.3103
5.1042 2.5384 -2.3103
-1.7740 3.0005 3.4551
1.7740 3.0005 3.4551
0.0000 5.5389 3.4341
3.3301 1.8742 0.5881
0.0000 0.0000 3.4916
3.3301 0.0000 3.4886
0.0000 3.6588 0.5786
0.0000 0.0000 7.0097
0.0000 7.4189 0.5786
0.0000 3.6647 6.3535
```

Main lines, by angle (2θ from 15° to 90°):
Position (°2θ)  d_spacing  I/Imax
26.77  3.330  245
27.62  3.229  291
31.02  2.883  1000
31.34  2.854  556
31.76  2.818  787
35.08  2.558  797
35.98  2.496  289
55.19  1.664  273
57.04  1.615  260
57.84  1.594  310



[11]
Structure and calculated XRD peak list of Nd8DyHo6 (a cell relaxed with PBE; Cu Kα (weighted mean of Kα1 and Kα2)).
No peak broadening, texture or thermal motion is included.

Structure:
```
Nd8DyHo6
1.0
9.4374 0.0000 0.0000
-4.7187 8.1730 0.0000
0.0000 0.0000 6.5729
Nd Dy Ho
8 1 6
Cartesian
-1.0051 2.3471 1.0980
-2.1834 7.8699 1.0980
1.5301 2.0441 5.4749
0.0000 5.4487 0.7922
4.7187 2.7243 5.7807
3.1886 6.1289 1.0980
6.9021 0.3031 5.4749
5.7238 5.8259 5.4749
0.0000 0.0000 3.2865
-1.1756 3.5758 4.3209
-1.0341 7.4032 4.3209
2.5090 2.8060 2.2520
2.2097 5.3670 4.3209
5.7528 0.7698 2.2520
5.8943 4.5971 2.2520
```

Main lines, by angle (2θ from 15° to 90°):
Position (°2θ)  d_spacing  I/Imax
25.67  3.470  256
28.90  3.089  342
29.29  3.049  238
32.01  2.796  1000
32.88  2.724  216
33.22  2.697  571
50.63  1.803  182
51.22  1.783  137
52.75  1.735  111
61.69  1.504  118



[12]
Structure and calculated XRD peak list of Nd8Dy3Ho4 (a cell relaxed with PBE; Cu Kα (weighted mean of Kα1 and Kα2)).
No peak broadening, texture or thermal motion is included.

Structure:
```
Nd8Dy3Ho4
1.0
6.7927 -6.4298 0.0000
6.7927 6.4298 0.0000
-3.4624 0.0000 5.9236
Nd Dy Ho
8 3 4
Cartesian
6.7927 4.4785 0.0000
1.5655 0.0000 2.7510
-0.2490 0.0000 5.8989
5.0615 3.2019 2.9618
5.0615 -3.2019 2.9618
10.3719 0.0000 0.0247
8.5574 0.0000 3.1726
6.7927 -4.4785 0.0000
-1.7312 0.0000 2.9618
3.3963 3.2149 0.0000
3.3963 -3.2149 0.0000
1.6651 3.2149 2.9618
1.6651 -3.2149 2.9618
6.7927 0.0000 0.0000
5.0615 0.0000 2.9618
```

Main lines, by angle (2θ from 15° to 90°):
Position (°2θ)  d_spacing  I/Imax
27.75  3.215  379
30.18  2.961  1000
30.49  2.932  478
31.69  2.823  230
41.46  2.178  506
41.69  2.166  243
53.99  1.698  182
61.78  1.502  142
62.76  1.481  118
66.14  1.413  173